1.
Nd4In5S13: simulated powder diffractogram (λ = 1.5418 Å (Cu Kα)), based on a structure optimized by DFT (PBE).

Structural model:
```
data_Nd4In5S13
_cell_length_a 12.0043
_cell_length_b 21.7022
_cell_length_c 3.9733
_cell_angle_alpha 90.00
_cell_angle_beta 90.00
_cell_angle_gamma 90.00
_space_group_name_H-M_alt 'P b a m'
_space_group_IT_number 55
loop_
_space_group_symop_operation_xyz
'x,y,z'
'-x,-y,-z'
'-x,-y,z'
'x,y,-z'
'x+1/2,-y+1/2,-z'
'-x+1/2,y+1/2,z'
'-x+1/2,y+1/2,-z'
'x+1/2,-y+1/2,z'
loop_
_atom_site_label
_atom_site_type_symbol
_atom_site_fract_x
_atom_site_fract_y
_atom_site_fract_z
_atom_site_occupancy
Nd1 Nd 0.0179 0.1694 0.0000 1
Nd2 Nd 0.1691 0.3422 0.0000 1
In1 In 0.0000 0.5000 0.0000 1
In2 In 0.1540 0.6700 0.5000 1
In3 In 0.1551 0.9927 0.5000 1
S1 S 0.0000 0.0000 0.0000 1
S2 S 0.0018 0.4083 0.5000 1
S3 S 0.0787 0.2611 0.5000 1
S4 S 0.1523 0.8670 0.5000 1
S5 S 0.1615 0.1134 0.5000 1
S6 S 0.1687 0.7391 0.0000 1
S7 S 0.2025 0.4768 0.0000 1
```

Peak list (10 most intense, 10 to 80 degrees two-theta, low angle first)
two_theta  Rel. int.
24.6  61
25.0  29
25.4  100
26.7  44
32.0  34
34.1  35
39.8  27
43.8  31
45.4  41
45.7  28

=====

2.
Nd2In3Sn3: simulated powder diffractogram (λ = 1.5418 Å (Cu Kα)), based on a structure optimized by DFT (PBE).

Structural model:
```
data_Nd2In3Sn3
_cell_length_a 4.7404
_cell_length_b 4.7661
_cell_length_c 9.5009
_cell_angle_alpha 90.00
_cell_angle_beta 90.00
_cell_angle_gamma 90.00
_space_group_name_H-M_alt 'P m m m'
_space_group_IT_number 47
loop_
_space_group_symop_operation_xyz
'x,y,z'
'-x,-y,-z'
'-x,-y,z'
'x,y,-z'
'x,-y,-z'
'-x,y,z'
'-x,y,-z'
'x,-y,z'
loop_
_atom_site_label
_atom_site_type_symbol
_atom_site_fract_x
_atom_site_fract_y
_atom_site_fract_z
_atom_site_occupancy
Nd1 Nd 0.0000 0.0000 0.2467 1
In1 In 0.0000 0.5000 0.5000 1
In2 In 0.5000 0.5000 0.2513 1
Sn1 Sn 0.0000 0.5000 0.0000 1
Sn2 Sn 0.5000 0.0000 0.0000 1
Sn3 Sn 0.5000 0.0000 0.5000 1
```

Peak list (10 most intense, 10 to 80 degrees two-theta, low angle first)
two_theta  Rel. int.
26.5  1
32.6  100
37.7  17
37.9  33
54.6  23
54.7  11
64.9  14
65.1  14
65.2  14
68.4  12

=====

3.
NdYIn2: simulated powder diffractogram (λ = 1.5418 Å (Cu Kα)), based on a structure optimized by DFT (PBE).

Structural model:
```
data_NdYIn2
_cell_length_a 7.6568
_cell_length_b 7.6568
_cell_length_c 7.6568
_cell_angle_alpha 90.00
_cell_angle_beta 90.00
_cell_angle_gamma 90.00
_space_group_name_H-M_alt 'F m -3 m'
_space_group_IT_number 225
_space_group_name_Hall '-F 4 2 3'
loop_
_atom_site_label
_atom_site_type_symbol
_atom_site_fract_x
_atom_site_fract_y
_atom_site_fract_z
_atom_site_occupancy
Nd1 Nd 0.0000 0.0000 0.0000 1
Y1 Y 0.0000 0.0000 0.5000 1
In1 In 0.2500 0.2500 0.2500 1
```

Peak list (10 most intense, 10 to 80 degrees two-theta, low angle first)
two_theta  Rel. int.
20.1  3
33.1  100
39.0  2
47.5  18
52.1  1
59.1  37
63.1  1
69.4  11
73.1  1
79.1  16

=====

4.
Nd2ZnIn: simulated powder diffractogram (λ = 1.5418 Å (Cu Kα)), based on a structure optimized by DFT (PBE).

Structural model:
```
data_Nd2ZnIn
_cell_length_a 8.0644
_cell_length_b 8.0644
_cell_length_c 8.0644
_cell_angle_alpha 90.00
_cell_angle_beta 90.00
_cell_angle_gamma 90.00
_space_group_name_H-M_alt 'F m -3 m'
_space_group_IT_number 225
_space_group_name_Hall '-F 4 2 3'
loop_
_atom_site_label
_atom_site_type_symbol
_atom_site_fract_x
_atom_site_fract_y
_atom_site_fract_z
_atom_site_occupancy
Nd1 Nd 0.2500 0.2500 0.2500 1
Zn1 Zn 0.0000 0.0000 0.0000 1
In1 In 0.0000 0.0000 0.5000 1
```

Peak list (10 most intense, 10 to 80 degrees two-theta, low angle first)
two_theta  Rel. int.
19.1  2
22.0  5
31.4  100
38.7  2
45.0  18
50.6  2
55.9  38
65.5  12
70.0  1
74.4  16

=====

5.
InNi3: simulated powder diffractogram (λ = 1.5418 Å (Cu Kα)), based on a structure optimized by DFT (PBE).

Structural model:
```
data_InNi3
_cell_length_a 3.7296
_cell_length_b 3.7296
_cell_length_c 3.7296
_cell_angle_alpha 90.00
_cell_angle_beta 90.00
_cell_angle_gamma 90.00
_space_group_name_H-M_alt 'P m -3 m'
_space_group_IT_number 221
_space_group_name_Hall '-P 4 2 3'
loop_
_atom_site_label
_atom_site_type_symbol
_atom_site_fract_x
_atom_site_fract_y
_atom_site_fract_z
_atom_site_occupancy
In1 In 0.0000 0.0000 0.0000 1
Ni1 Ni 0.0000 0.5000 0.5000 1
```

Peak list (8 most intense, 10 to 80 degrees two-theta, low angle first)
two_theta  Rel. int.
23.9  9
34.0  7
42.0  100
48.8  47
55.1  4
60.8  3
71.6  28
76.6  2